For Er5HgS4, DFT lattice parameters and positions (PBE) gives the theoretical powder diffractogram in this record (a wavelength of 1.5418 Å).

Structural model:
```
data_Er5HgS4
_chemical_formula_sum 'Er10 Hg2 S8'
_cell_length_a 13.2112
_cell_length_b 3.8724
_cell_length_c 9.8629
_cell_angle_alpha 90.00
_cell_angle_beta 120.21
_cell_angle_gamma 90.00
_symmetry_space_group_name_H-M 'C 1 2/m 1'
_symmetry_Int_Tables_number 12
loop_
_symmetry_equiv_pos_as_xyz
'x,y,z'
'-x,-y,-z'
'-x,y,-z'
'x,-y,z'
'x+1/2,y+1/2,z'
'-x+1/2,-y+1/2,-z'
'-x+1/2,y+1/2,-z'
'x+1/2,-y+1/2,z'
loop_
_atom_site_label
_atom_site_type_symbol
_atom_site_fract_x
_atom_site_fract_y
_atom_site_fract_z
Er1 Er 0.0000 0.0000 0.0000
Er2 Er 0.1112 0.5000 0.3920
Er3 Er 0.2029 0.0000 0.8110
Hg1 Hg 0.0000 0.0000 0.5000
S1 S 0.0984 0.5000 0.9032
S2 S 0.2014 0.0000 0.2896
```

Peak list (6 most intense, 2θ = 10–90°, most intense first)
two_theta	I_rel
32.12	100
31.91	52
45.65	38
46.15	36
28.00	26
57.87	19

For Tb4AuI5, DFT lattice parameters and positions (PBE) gives the theoretical powder diffractogram in this record (a wavelength of 1.5418 Å).

Structural model:
```
data_Tb4AuI5
_chemical_formula_sum 'Tb8 Au2 I10'
_cell_length_a 19.3617
_cell_length_b 4.1992
_cell_length_c 9.0061
_cell_angle_alpha 90.00
_cell_angle_beta 102.49
_cell_angle_gamma 90.00
_symmetry_space_group_name_H-M 'C 1 2/m 1'
_symmetry_Int_Tables_number 12
loop_
_symmetry_equiv_pos_as_xyz
'x,y,z'
'-x,-y,-z'
'-x,y,-z'
'x,-y,z'
'x+1/2,y+1/2,z'
'-x+1/2,-y+1/2,-z'
'-x+1/2,y+1/2,-z'
'x+1/2,-y+1/2,z'
loop_
_atom_site_label
_atom_site_type_symbol
_atom_site_fract_x
_atom_site_fract_y
_atom_site_fract_z
Tb1 Tb 0.0010 0.0000 0.2147
Tb2 Tb 0.1485 0.5000 0.0758
Au1 Au 0.0000 0.5000 0.0000
I1 I 0.0000 0.5000 0.5000
I2 I 0.1683 0.0000 0.3404
I3 I 0.1756 0.0000 0.8295
```

Peak list (6 most intense, 2θ = 10–90°, most intense first)
two_theta	I_rel
29.08	100
28.33	50
10.06	45
40.80	36
41.29	34
40.05	18